Simulated XRD peak list of MoO2F4 for Cu Kα (weighted mean of Kα1 and Kα2), from a structure optimized by DFT (GGA+U).
Peak positions follow from Bragg's law for the DFT cell and can differ from measured ones.

```
7
Lattice="3.4797 0.0000 0.0000 -0.0001 3.5298 0.0000 -1.7281 -0.4850 8.3374" Properties=species:S:1:pos:R:3 pbc="T T T"
Mo 0.0000 0.0000 0.0000
O 0.0058 0.9180 4.4538
O 1.7456 2.1268 3.8836
F -0.0005 1.7647 1.1650
F 0.0118 3.0424 7.1604
F 1.7397 0.0024 1.1770
F 1.7519 1.2801 7.1724
```

Largest 8 diffraction maxima, sorted by position, 2θ from 5° to 70°:
Position (°2θ)	I/Imax
10.6	100
21.3	20
26.2	17
26.9	10
28.1	11
30.3	15
44.7	12
54.5	7